Calculated PXRD pattern of LiPtPb2 for λ = 1.5418 Å (Cu Kα), from DFT lattice parameters and positions (GGA-PBE).
Intensities are scaled so that the largest is 100.

Cell: 3.8909 4.3093 5.5517 Å, 90.00 109.86 90.00°
Positions (direct):
1 Li 0.0000 0.0000 0.0000
2 Pt 0.8620 0.5000 0.7186
3 Pb 0.2871 0.0000 0.5625
4 Pb 0.5639 0.5000 0.1327

The 10 most intense peaks (2θ = 10–80°), in order of falling intensity:
d [Å], 2theta, I/Imax
2.777, 32.23, 100
2.789, 32.09, 95
2.610, 34.36, 87
2.232, 40.40, 80
3.324, 26.82, 67
2.580, 34.78, 47
2.155, 41.93, 47
1.662, 55.29, 46
2.213, 40.77, 36
1.945, 46.69, 35